SrTi4Bi4O15: calculated X-ray diffraction stick pattern (λ = 1.5418 Å (Cu Kα)), based on a cell relaxed with PBE.

Cell and atoms:
```
data_SrTi4Bi4O15
_cell_length_a 41.1874
_cell_length_b 5.5160
_cell_length_c 5.5768
_cell_angle_alpha 90.00
_cell_angle_beta 90.00
_cell_angle_gamma 90.00
_symmetry_space_group_name_H-M 'C m c 21'
_symmetry_Int_Tables_number 36
loop_
_symmetry_equiv_pos_as_xyz
'x,y,z'
'-x,-y,z+1/2'
'-x,y,z'
'x,-y,z+1/2'
'x+1/2,y+1/2,z'
'-x+1/2,-y+1/2,z+1/2'
'-x+1/2,y+1/2,z'
'x+1/2,-y+1/2,z+1/2'
loop_
_atom_site_label
_atom_site_type_symbol
_atom_site_fract_x
_atom_site_fract_y
_atom_site_fract_z
Sr1 Sr 0.0000 0.2447 0.0000
Ti1 Ti 0.0477 0.2498 0.5038
Ti2 Ti 0.1500 0.2481 0.5013
Bi1 Bi 0.1015 0.2481 0.9550
Bi2 Bi 0.2189 0.2771 0.9117
O1 O 0.0000 0.2999 0.5382
O2 O 0.0422 0.0244 0.2644
O3 O 0.0534 0.4706 0.8164
O4 O 0.0950 0.1855 0.5521
O5 O 0.1357 0.4785 0.2570
O6 O 0.1475 0.0394 0.8113
O7 O 0.1923 0.3172 0.5137
O8 O 0.2493 0.0112 0.6907
```

Largest 8 diffraction maxima, in order of rising 2θ, 10° ≤ 2θ ≤ 80°:
d = 6.865 Å, 12.90 deg, I = 22, hkl 6 0 0
d = 3.904 Å, 22.78 deg, I = 22, hkl 1 1 1
d = 3.263 Å, 27.33 deg, I = 29, hkl 7 1 1
d = 2.978 Å, 30.01 deg, I = 100, hkl 9 1 1
d = 2.788 Å, 32.10 deg, I = 22, hkl 0 0 2
d = 2.759 Å, 32.46 deg, I = 26, hkl 0 2 0
d = 2.291 Å, 39.33 deg, I = 18, hkl 10 2 0
d = 1.961 Å, 46.30 deg, I = 21, hkl 0 2 2